For ReBiO5, a DFT-relaxed cell (GGA-PBE, the Materials Project) gives the simulated X-ray diffraction stick pattern in this record (Cu Ka).
Lines closer than 0.1° are merged.

Top 12 peaks for 5° ≤ 2θ ≤ 70°, sorted by position:
(0 2 0), 2θ = 10.5°, rel. 57; (1 1 1), 2θ = 16.6°, rel. 80; (0 2 2), 2θ = 17.6°, rel. 27; (0 4 1), 2θ = 22.2°, rel. 39; (1 3 1), 2θ = 22.3°, rel. 38; (0 2 3), 2θ = 23.8°, rel. 33; (1 3 2), 2θ = 25.5°, rel. 100; (2 0 0), 2θ = 28.3°, rel. 27; (1 3 3), 2θ = 30.2°, rel. 23; (1 1 4), 2θ = 32.4°, rel. 38; (0 6 1), 2θ = 32.5°, rel. 26; (1 5 5), 2θ = 47.4°, rel. 28

Structure:
abc: 6.3048 16.9233 12.5087
angles: 90.00 90.00 90.00
Fractional positions:
Re (0.0140, 0.1120, 0.1054)
Re (0.0140, 0.3880, 0.6054)
Re (0.4860, 0.6120, 0.1054)
Re (0.4860, 0.8880, 0.6054)
Re (0.5140, 0.1120, 0.3946)
Re (0.5140, 0.3880, 0.8946)
Re (0.9860, 0.6120, 0.3946)
Re (0.9860, 0.8880, 0.8946)
Bi (0.0493, 0.7116, 0.6774)
Bi (0.0493, 0.7884, 0.1774)
Bi (0.4507, 0.2116, 0.6774)
Bi (0.4507, 0.2884, 0.1774)
Bi (0.5493, 0.7116, 0.8226)
Bi (0.5493, 0.7884, 0.3226)
Bi (0.9507, 0.2116, 0.8226)
Bi (0.9507, 0.2884, 0.3226)
O (0.0826, 0.1910, 0.1961)
O (0.0826, 0.3090, 0.6961)
O (0.1226, 0.5383, 0.3288)
O (0.1226, 0.9617, 0.8288)
O (0.1431, 0.6507, 0.5005)
O (0.1431, 0.8493, 0.0005)
O (0.2395, 0.1559, 0.7816)
O (0.2395, 0.3441, 0.2816)
O (0.2440, 0.0734, 0.0512)
O (0.2440, 0.4266, 0.5512)
O (0.2560, 0.5734, 0.0512)
O (0.2560, 0.9266, 0.5512)
O (0.2605, 0.6559, 0.7816)
O (0.2605, 0.8441, 0.2816)
O (0.3569, 0.1507, 0.5005)
O (0.3569, 0.3493, 0.0005)
O (0.3774, 0.0383, 0.3288)
O (0.3774, 0.4617, 0.8288)
O (0.4174, 0.6910, 0.1961)
O (0.4174, 0.8090, 0.6961)
O (0.5826, 0.1910, 0.3039)
O (0.5826, 0.3090, 0.8039)
O (0.6226, 0.5383, 0.1712)
O (0.6226, 0.9617, 0.6712)
O (0.6431, 0.6507, 0.9995)
O (0.6431, 0.8493, 0.4995)
O (0.7395, 0.1559, 0.7184)
O (0.7395, 0.3441, 0.2184)
O (0.7440, 0.0734, 0.4488)
O (0.7440, 0.4266, 0.9488)
O (0.7560, 0.5734, 0.4488)
O (0.7560, 0.9266, 0.9488)
O (0.7605, 0.6559, 0.7184)
O (0.7605, 0.8441, 0.2184)
O (0.8569, 0.1507, 0.9995)
O (0.8569, 0.3493, 0.4995)
O (0.8774, 0.0383, 0.1712)
O (0.8774, 0.4617, 0.6712)
O (0.9174, 0.6910, 0.3039)
O (0.9174, 0.8090, 0.8039)